[1]
# Li5Mn2Cu3O10
Calculated powder diffractogram, Cu Kα X-rays. Input: a GGA+U-relaxed structure.
Kinematic intensities with the Lorentz-polarization factor, no thermal factor.

Principal peaks in the range 10° ≤ 2θ ≤ 90°, in order of falling intensity:
(0 0 1), 12.7 deg, I 100
(0 1 -1), 18.3 deg, I 99
(-1 2 1), 39.4 deg, I 84
(1 -1 3), 44.8 deg, I 65
(2 1 -2), 45.5 deg, I 62
(1 0 0), 19.1 deg, I 34
(2 -1 0), 37.0 deg, I 31
(1 -1 0), 21.5 deg, I 30
(1 -2 0), 35.0 deg, I 28
(2 0 -1), 36.8 deg, I 24

Structure:
```
data_Li5Mn2Cu3O10
_symmetry_space_group_name_H-M 'P -1'
_symmetry_Int_Tables_number 2
_cell_length_a 5.0511
_cell_length_b 5.4064
_cell_length_c 7.5907
_cell_angle_alpha 104.18
_cell_angle_beta 103.36
_cell_angle_gamma 104.84
loop_
_symmetry_equiv_pos_as_xyz
'x,y,z'
'-x,-y,-z'
loop_
_atom_site_label
_atom_site_type_symbol
_atom_site_fract_x
_atom_site_fract_y
_atom_site_fract_z
Li1 Li 0.0000 0.0000 0.0000
Li2 Li 0.0959 0.2149 0.7106
Li3 Li 0.2919 0.6031 0.1072
Mn1 Mn 0.3966 0.8240 0.8059
Cu1 Cu 0.1992 0.3851 0.3977
Cu2 Cu 0.5000 0.0000 0.5000
O1 O 0.0478 0.6213 0.8361
O2 O 0.1505 0.8303 0.5716
O3 O 0.2852 0.9698 0.2528
O4 O 0.3698 0.1674 0.9545
O5 O 0.4407 0.4795 0.6626
```


[2]
# Li2MnCuO4
Calculated powder diffractogram, Cu Kα X-rays. Input: a GGA+U-relaxed structure.
Kinematic intensities with the Lorentz-polarization factor, no thermal factor.

Principal peaks in the range 10° ≤ 2θ ≤ 90°, in order of falling intensity:
(1 0 1), 24.0 deg, I 100
(2 0 0), 43.8 deg, I 50
(2 0 4), 63.2 deg, I 26
(0 0 4), 43.3 deg, I 24
(2 1 1), 50.5 deg, I 24
(1 1 2), 37.5 deg, I 20
(1 0 3), 39.0 deg, I 16
(2 2 0), 63.6 deg, I 14
(2 2 4), 80.1 deg, I 12
(1 0 5), 59.6 deg, I 10

Structure:
```
data_Li2MnCuO4
_symmetry_space_group_name_H-M 'I -4 m 2'
_symmetry_Int_Tables_number 119
_symmetry_space_group_name_Hall 'I -4 -2'
_cell_length_a 4.1373
_cell_length_b 4.1373
_cell_length_c 8.3612
_cell_angle_alpha 90.00
_cell_angle_beta 90.00
_cell_angle_gamma 90.00
loop_
_atom_site_label
_atom_site_type_symbol
_atom_site_fract_x
_atom_site_fract_y
_atom_site_fract_z
Li1 Li 0.0000 0.0000 0.0000
Li2 Li 0.0000 0.5000 0.2500
Mn1 Mn 0.0000 0.0000 0.5000
Cu1 Cu 0.0000 0.5000 0.7500
O1 O 0.0000 0.0000 0.2693
O2 O 0.0000 0.5000 0.5156
```


[3]
# Li4Mn5CuO12
Calculated powder diffractogram, Cu Kα X-rays. Input: a GGA+U-relaxed structure.
Kinematic intensities with the Lorentz-polarization factor, no thermal factor.

Principal peaks in the range 10° ≤ 2θ ≤ 90°, in order of falling intensity:
(0 0 2), 17.5 deg, I 100
(2 0 -4), 50.9 deg, I 15
(1 3 -2), 39.2 deg, I 14
(1 3 2), 39.5 deg, I 14
(2 0 0), 36.0 deg, I 13
(1 3 0), 34.9 deg, I 9
(1 3 -3), 44.1 deg, I 8
(2 0 -2), 40.0 deg, I 8
(1 3 -4), 50.4 deg, I 8
(2 0 2), 40.6 deg, I 8

Structure:
```
data_Li4Mn5CuO12
_symmetry_space_group_name_H-M 'C 1 2 1'
_symmetry_Int_Tables_number 5
_cell_length_a 4.9922
_cell_length_b 8.9974
_cell_length_c 10.1112
_cell_angle_alpha 90.00
_cell_angle_beta 91.06
_cell_angle_gamma 90.00
loop_
_symmetry_equiv_pos_as_xyz
'x,y,z'
'-x,y,-z'
'x+1/2,y+1/2,z'
'-x+1/2,y+1/2,-z'
loop_
_atom_site_label
_atom_site_type_symbol
_atom_site_fract_x
_atom_site_fract_y
_atom_site_fract_z
Li1 Li 0.1305 0.0000 0.2572
Li2 Li 0.1330 0.3537 0.2414
Mn1 Mn 0.0000 0.1421 0.5000
Mn2 Mn 0.0000 0.4754 0.5000
Mn3 Mn 0.0000 0.5446 0.0000
Mn4 Mn 0.0000 0.8071 0.5000
Mn5 Mn 0.0000 0.8753 0.0000
Cu1 Cu 0.0000 0.2068 0.0000
O1 O 0.1648 0.7110 0.9022
O2 O 0.1715 0.3240 0.6056
O3 O 0.1774 0.0207 0.8917
O4 O 0.1768 0.3969 0.8920
O5 O 0.1787 0.6366 0.5997
O6 O 0.1787 0.9654 0.6061
```


[4]
# Li4Mn2Cu3O10
Calculated powder diffractogram, Cu Kα X-rays. Input: a GGA+U-relaxed structure.
Kinematic intensities with the Lorentz-polarization factor, no thermal factor.

Principal peaks in the range 10° ≤ 2θ ≤ 90°, in order of falling intensity:
(0 0 1), 12.7 deg, I 100
(0 1 -1), 18.4 deg, I 79
(-1 2 1), 40.2 deg, I 72
(1 -1 3), 44.4 deg, I 58
(2 1 -2), 45.7 deg, I 53
(1 0 0), 19.1 deg, I 35
(1 -1 0), 21.7 deg, I 29
(3 0 1), 65.6 deg, I 29
(2 -1 0), 36.9 deg, I 27
(1 0 -2), 26.9 deg, I 26

Structure:
```
data_Li4Mn2Cu3O10
_symmetry_space_group_name_H-M 'P -1'
_symmetry_Int_Tables_number 2
_cell_length_a 5.0433
_cell_length_b 5.3382
_cell_length_c 7.6013
_cell_angle_alpha 105.19
_cell_angle_beta 102.51
_cell_angle_gamma 104.76
loop_
_symmetry_equiv_pos_as_xyz
'x,y,z'
'-x,-y,-z'
loop_
_atom_site_label
_atom_site_type_symbol
_atom_site_fract_x
_atom_site_fract_y
_atom_site_fract_z
Li1 Li 0.1046 0.2067 0.2247
Li2 Li 0.2776 0.5940 0.6007
Mn1 Mn 0.4014 0.8200 0.3088
Cu1 Cu 0.1941 0.3815 0.8941
Cu2 Cu 0.5000 0.0000 0.0000
O1 O 0.0535 0.5950 0.3247
O2 O 0.1584 0.8287 0.0742
O3 O 0.2865 0.9888 0.7667
O4 O 0.3861 0.1731 0.4526
O5 O 0.4451 0.4678 0.1577
```


[5]
# Li4Mn5CuO12
Calculated powder diffractogram, Cu Kα X-rays. Input: a GGA+U-relaxed structure.
Kinematic intensities with the Lorentz-polarization factor, no thermal factor.

Principal peaks in the range 10° ≤ 2θ ≤ 90°, in order of falling intensity:
(0 0 2), 17.5 deg, I 100
(1 3 2), 41.7 deg, I 18
(2 0 -2), 35.5 deg, I 16
(1 3 -4), 48.6 deg, I 15
(1 3 -2), 38.5 deg, I 15
(1 3 0), 35.8 deg, I 13
(1 3 4), 53.8 deg, I 12
(2 0 2), 42.0 deg, I 10
(2 0 0), 34.5 deg, I 9
(3 3 -2), 62.1 deg, I 9

Structure:
```
data_Li4Mn5CuO12
_symmetry_space_group_name_H-M 'C 1 2/m 1'
_symmetry_Int_Tables_number 12
_cell_length_a 5.3104
_cell_length_b 8.5896
_cell_length_c 10.3340
_cell_angle_alpha 90.00
_cell_angle_beta 101.36
_cell_angle_gamma 90.00
loop_
_symmetry_equiv_pos_as_xyz
'x,y,z'
'-x,-y,-z'
'-x,y,-z'
'x,-y,z'
'x+1/2,y+1/2,z'
'-x+1/2,-y+1/2,-z'
'-x+1/2,y+1/2,-z'
'x+1/2,-y+1/2,z'
loop_
_atom_site_label
_atom_site_type_symbol
_atom_site_fract_x
_atom_site_fract_y
_atom_site_fract_z
Li1 Li 0.2460 0.1667 0.2560
Mn1 Mn 0.0000 0.1657 0.0000
Mn2 Mn 0.0000 0.1662 0.5000
Mn3 Mn 0.0000 0.5000 0.5000
Cu1 Cu 0.0000 0.5000 0.0000
O1 O 0.0851 0.3315 0.3899
O2 O 0.1446 0.0000 0.4037
O3 O 0.1661 0.0000 0.1123
O4 O 0.2138 0.3247 0.0995
```


[6]
# Li2Mn2CuO6
Calculated powder diffractogram, Cu Kα X-rays. Input: a GGA+U-relaxed structure.
Kinematic intensities with the Lorentz-polarization factor, no thermal factor.

Principal peaks in the range 10° ≤ 2θ ≤ 90°, in order of falling intensity:
(0 0 2), 17.1 deg, I 100
(3 1 1), 36.1 deg, I 32
(3 1 3), 44.0 deg, I 31
(3 1 5), 57.2 deg, I 16
(0 2 4), 50.6 deg, I 15
(0 2 2), 39.9 deg, I 14
(3 3 1), 64.5 deg, I 14
(3 1 2), 39.3 deg, I 7
(0 2 0), 35.7 deg, I 6
(3 1 7), 73.9 deg, I 5

Structure:
```
data_Li2Mn2CuO6
_symmetry_space_group_name_H-M 'C m c e'
_symmetry_Int_Tables_number 64
_symmetry_space_group_name_Hall '-C 2ac 2'
_cell_length_a 8.9227
_cell_length_b 5.0270
_cell_length_c 10.3678
_cell_angle_alpha 90.00
_cell_angle_beta 90.00
_cell_angle_gamma 90.00
loop_
_atom_site_label
_atom_site_type_symbol
_atom_site_fract_x
_atom_site_fract_y
_atom_site_fract_z
Li1 Li 0.2500 0.0677 0.2500
Mn1 Mn 0.1649 0.0000 0.0000
Cu1 Cu 0.0000 0.0000 0.5000
O1 O 0.0000 0.1649 0.9073
O2 O 0.1867 0.1864 0.6073
```


[7]
# Li2Mn5Cu2O12
Calculated powder diffractogram, Cu Kα X-rays. Input: a GGA+U-relaxed structure.
Kinematic intensities with the Lorentz-polarization factor, no thermal factor.

Principal peaks in the range 10° ≤ 2θ ≤ 90°, in order of falling intensity:
(1 3 -3), 43.5 deg, I 100
(0 0 2), 18.2 deg, I 79
(2 0 2), 41.1 deg, I 60
(1 1 1), 22.6 deg, I 55
(0 0 4), 37.0 deg, I 42
(0 2 0), 20.3 deg, I 38
(3 3 -1), 60.8 deg, I 29
(1 3 5), 62.0 deg, I 27
(1 1 -1), 20.5 deg, I 20
(1 1 -3), 31.9 deg, I 19

Structure:
```
data_Li2Mn5Cu2O12
_symmetry_space_group_name_H-M 'P 1 21 1'
_symmetry_Int_Tables_number 4
_cell_length_a 5.3607
_cell_length_b 8.7609
_cell_length_c 9.8297
_cell_angle_alpha 90.00
_cell_angle_beta 98.46
_cell_angle_gamma 90.00
loop_
_symmetry_equiv_pos_as_xyz
'x,y,z'
'-x,y+1/2,-z'
loop_
_atom_site_label
_atom_site_type_symbol
_atom_site_fract_x
_atom_site_fract_y
_atom_site_fract_z
Li1 Li 0.0028 0.0000 0.2435
Li2 Li 0.2473 0.3254 0.0065
Mn1 Mn 0.0135 0.1456 0.7555
Mn2 Mn 0.2436 0.8034 0.5059
Mn3 Mn 0.2475 0.4652 0.4948
Mn4 Mn 0.2566 0.9899 0.0022
Mn5 Mn 0.4910 0.6571 0.7586
Cu1 Cu 0.2490 0.6658 0.0079
Cu2 Cu 0.2605 0.1347 0.5054
O1 O 0.0902 0.5122 0.0995
O2 O 0.1001 0.3019 0.6051
O3 O 0.1053 0.9740 0.6033
O4 O 0.1275 0.8214 0.1097
O5 O 0.1712 0.6444 0.6342
O6 O 0.1841 0.1378 0.1343
O7 O 0.3059 0.6396 0.3803
O8 O 0.3213 0.1421 0.8738
O9 O 0.3712 0.8169 0.9050
O10 O 0.3838 0.5170 0.8990
O11 O 0.3876 0.9663 0.4036
O12 O 0.4161 0.2859 0.3933
```


[8]
# Li3Mn2CuO6
Calculated powder diffractogram, Cu Kα X-rays. Input: a GGA+U-relaxed structure.
Kinematic intensities with the Lorentz-polarization factor, no thermal factor.

Principal peaks in the range 10° ≤ 2θ ≤ 90°, in order of falling intensity:
(0 1 -2), 18.0 deg, I 100
(1 0 -4), 45.1 deg, I 43
(0 3 0), 36.7 deg, I 37
(-1 1 2), 36.6 deg, I 34
(0 2 2), 31.5 deg, I 23
(1 -4 4), 59.6 deg, I 20
(-1 3 4), 59.5 deg, I 14
(1 -3 2), 45.3 deg, I 12
(2 -4 0), 78.1 deg, I 10
(2 -1 0), 66.1 deg, I 10

Structure:
```
data_Li3Mn2CuO6
_symmetry_space_group_name_H-M 'P 1'
_symmetry_Int_Tables_number 1
_cell_length_a 2.8276
_cell_length_b 7.6070
_cell_length_c 11.4143
_cell_angle_alpha 100.61
_cell_angle_beta 90.00
_cell_angle_gamma 100.70
loop_
_symmetry_equiv_pos_as_xyz
'x,y,z'
loop_
_atom_site_label
_atom_site_type_symbol
_atom_site_fract_x
_atom_site_fract_y
_atom_site_fract_z
Li1 Li 0.0000 0.0000 0.0000
Li2 Li 0.0088 0.0181 0.5202
Li3 Li 0.3240 0.6470 0.8360
Li4 Li 0.3486 0.6969 0.3498
Li5 Li 0.6413 0.2813 0.1606
Li6 Li 0.6523 0.3048 0.6754
Mn1 Mn 0.6555 0.3104 0.4241
Mn2 Mn 0.6644 0.3281 0.9264
Mn3 Mn 0.9887 0.9774 0.7531
Mn4 Mn 0.9960 0.9904 0.2554
Cu1 Cu 0.3205 0.6438 0.5814
Cu2 Cu 0.3367 0.6692 0.0898
O1 O 0.1356 0.2704 0.3004
O2 O 0.1476 0.2944 0.0375
O3 O 0.1476 0.2949 0.5359
O4 O 0.1679 0.3352 0.8104
O5 O 0.4844 0.9687 0.8690
O6 O 0.4895 0.9773 0.3698
O7 O 0.5053 0.0090 0.1451
O8 O 0.5060 0.0121 0.6430
O9 O 0.8075 0.6174 0.4639
O10 O 0.8196 0.6356 0.9759
O11 O 0.8325 0.6675 0.6955
O12 O 0.8622 0.7211 0.2108
```


[9]
# Sr4LiMn2Cu3S4O4
Calculated powder diffractogram, Cu Kα X-rays. Input: a GGA+U-relaxed structure.
Kinematic intensities with the Lorentz-polarization factor, no thermal factor.

Principal peaks in the range 10° ≤ 2θ ≤ 90°, in order of falling intensity:
(1 -1 3), 34.0 deg, I 100
(0 2 1), 33.6 deg, I 81
(2 0 -2), 36.6 deg, I 64
(0 1 -3), 30.2 deg, I 62
(2 0 0), 30.4 deg, I 57
(1 0 2), 26.0 deg, I 55
(1 -2 2), 33.3 deg, I 54
(-1 1 2), 32.1 deg, I 49
(1 1 0), 21.3 deg, I 43
(1 1 -3), 33.8 deg, I 42

Structure:
```
data_Sr4LiMn2Cu3S4O4
_symmetry_space_group_name_H-M 'P 1'
_symmetry_Int_Tables_number 1
_cell_length_a 5.8905
_cell_length_b 6.5145
_cell_length_c 8.9984
_cell_angle_alpha 107.84
_cell_angle_beta 90.63
_cell_angle_gamma 92.14
loop_
_symmetry_equiv_pos_as_xyz
'x,y,z'
loop_
_atom_site_label
_atom_site_type_symbol
_atom_site_fract_x
_atom_site_fract_y
_atom_site_fract_z
Sr1 Sr 0.0000 0.0000 0.0000
Sr2 Sr 0.0021 0.7065 0.5728
Sr3 Sr 0.5182 0.5186 0.0856
Sr4 Sr 0.5389 0.1418 0.6633
Li1 Li 0.4546 0.0009 0.9273
Mn1 Mn 0.0543 0.4405 0.8575
Mn2 Mn 0.5314 0.6479 0.7264
Cu1 Cu 0.2708 0.9064 0.3177
Cu2 Cu 0.3404 0.3118 0.3883
Cu3 Cu 0.8419 0.9690 0.3196
S1 S 0.0097 0.6397 0.1828
S2 S 0.0570 0.1907 0.5235
S3 S 0.4824 0.6582 0.4522
S4 S 0.5421 0.0634 0.1979
O1 O 0.2212 0.7184 0.8233
O2 O 0.2764 0.2287 0.9009
O3 O 0.7135 0.4713 0.8291
O4 O 0.7223 0.9304 0.7961
```


[10]
# Sr4LiMn2Cu3S4O4
Calculated powder diffractogram, Cu Kα X-rays. Input: a GGA+U-relaxed structure.
Kinematic intensities with the Lorentz-polarization factor, no thermal factor.

Principal peaks in the range 10° ≤ 2θ ≤ 90°, in order of falling intensity:
(0 4 2), 36.9 deg, I 100
(1 5 -1), 33.5 deg, I 89
(1 5 1), 34.5 deg, I 88
(2 2 0), 31.8 deg, I 66
(2 0 2), 44.4 deg, I 52
(2 0 -2), 41.2 deg, I 51
(1 5 3), 56.7 deg, I 41
(0 0 2), 29.9 deg, I 35
(0 10 2), 63.2 deg, I 29
(0 0 4), 62.2 deg, I 27

Structure:
```
data_Sr4LiMn2Cu3S4O4
_symmetry_space_group_name_H-M 'C 1 2 1'
_symmetry_Int_Tables_number 5
_cell_length_a 5.9900
_cell_length_b 16.8921
_cell_length_c 5.9871
_cell_angle_alpha 90.00
_cell_angle_beta 94.00
_cell_angle_gamma 90.00
loop_
_symmetry_equiv_pos_as_xyz
'x,y,z'
'-x,y,-z'
'x+1/2,y+1/2,z'
'-x+1/2,y+1/2,-z'
loop_
_atom_site_label
_atom_site_type_symbol
_atom_site_fract_x
_atom_site_fract_y
_atom_site_fract_z
Sr1 Sr 0.2043 0.0000 0.2951
Sr2 Sr 0.2435 0.6957 0.7490
Li1 Li 0.0000 0.4916 0.0000
Mn1 Mn 0.2500 0.1100 0.7546
Cu1 Cu 0.0000 0.3408 0.0000
Cu2 Cu 0.0000 0.3429 0.5000
Cu3 Cu 0.0000 0.8433 0.0000
S1 S 0.2412 0.2718 0.7588
S2 S 0.2424 0.4198 0.2432
O1 O 0.0000 0.0964 0.0000
O2 O 0.0000 0.0972 0.5000
O3 O 0.0000 0.5982 0.0000
O4 O 0.0000 0.6000 0.5000
```